[1]
CeSiHIr2: theoretical PXRD pattern (Cu Kα, 1.54184 Å), based on a PBE-relaxed structure.
Peak positions follow from Bragg's law for the DFT cell and can differ from measured ones.

Largest 10 diffraction maxima, in order of rising 2θ, 2θ from 10° to 90°:
- hkl 1 1 1, 27.3°, I = 27
- hkl 0 2 2, 30.4°, I = 24
- hkl 1 3 0, 33.6°, I = 75
- hkl 1 1 2, 35.3°, I = 100
- hkl 1 3 1, 36.0°, I = 22
- hkl 0 2 3, 42.2°, I = 35
- hkl 1 3 2, 42.6°, I = 39
- hkl 2 0 0, 46.1°, I = 51
- hkl 1 5 3, 63.0°, I = 25
- hkl 2 2 3, 64.3°, I = 20

Structure:
```
data_CeSiHIr2
_chemical_formula_sum 'Ce4 Si4 H4 Ir8'
_space_group_name_H-M_alt 'C m c m'
_space_group_IT_number 63
_space_group_name_Hall '-C 2c 2'
_cell_length_a 3.934
_cell_length_b 10.909
_cell_length_c 6.978
_cell_angle_alpha 90.00
_cell_angle_beta 90.00
_cell_angle_gamma 90.00
loop_
_atom_site_label
_atom_site_type_symbol
_atom_site_fract_x
_atom_site_fract_y
_atom_site_fract_z
Ce1 Ce 0.000 0.068 0.250
Si1 Si 0.000 0.214 0.750
H1 H 0.000 0.500 0.000
Ir1 Ir 0.000 0.339 0.050
```


[2]
TbCeH8Ir2: theoretical PXRD pattern (Cu Kα, 1.54184 Å), based on a PBE-relaxed structure.
Peak positions follow from Bragg's law for the DFT cell and can differ from measured ones.

Largest 10 diffraction maxima, in order of rising 2θ, 2θ from 10° to 90°:
- hkl 1 0 4, 28.9°, I = 100
- hkl 1 1 0, 37.5°, I = 52
- hkl 0 1 8, 44.8°, I = 30
- hkl 0 2 4, 48.0°, I = 26
- hkl 2 0 8, 59.8°, I = 13
- hkl 2 1 4, 62.4°, I = 23
- hkl 3 0 0, 67.6°, I = 9
- hkl 1 2 8, 72.8°, I = 27
- hkl 2 2 0, 80.0°, I = 6
- hkl 1 3 4, 87.1°, I = 10

Structure:
```
data_TbCeH8Ir2
_chemical_formula_sum 'Tb3 Ce3 H24 Ir6'
_space_group_name_H-M_alt 'R -3 m'
_space_group_IT_number 166
_space_group_name_Hall '-R 3 2"'
_cell_length_a 4.7985
_cell_length_b 4.7985
_cell_length_c 18.5326
_cell_angle_alpha 90.00
_cell_angle_beta 90.00
_cell_angle_gamma 120.00
loop_
_atom_site_label
_atom_site_type_symbol
_atom_site_fract_x
_atom_site_fract_y
_atom_site_fract_z
Tb1 Tb 0.0000 0.0000 0.0000
Ce1 Ce 0.0000 0.0000 0.5000
H1 H 0.0000 0.0000 0.1691
H2 H 0.0589 0.5294 0.0563
Ir1 Ir 0.0000 0.0000 0.2572
```


[3]
CeZnH8Ir2: theoretical PXRD pattern (Cu Kα, 1.54184 Å), based on a PBE-relaxed structure.
Peak positions follow from Bragg's law for the DFT cell and can differ from measured ones.

Largest 10 diffraction maxima, in order of rising 2θ, 2θ from 10° to 90°:
- hkl 1 0 1, 22.6°, I = 20
- hkl 1 0 4, 31.1°, I = 100
- hkl 0 1 5, 35.3°, I = 52
- hkl 1 1 0, 38.5°, I = 91
- hkl 1 0 7, 44.8°, I = 16
- hkl 0 2 4, 50.3°, I = 34
- hkl 2 0 5, 53.2°, I = 16
- hkl 2 1 4, 65.1°, I = 46
- hkl 1 2 5, 67.6°, I = 16
- hkl 3 0 0, 69.7°, I = 16

Structure:
```
data_CeZnH8Ir2
_chemical_formula_sum 'Ce3 Zn3 H24 Ir6'
_space_group_name_H-M_alt 'R -3 m'
_space_group_IT_number 166
_space_group_name_Hall '-R 3 2"'
_cell_length_a 4.6740
_cell_length_b 4.6740
_cell_length_c 16.3299
_cell_angle_alpha 90.00
_cell_angle_beta 90.00
_cell_angle_gamma 120.00
loop_
_atom_site_label
_atom_site_type_symbol
_atom_site_fract_x
_atom_site_fract_y
_atom_site_fract_z
Ce1 Ce 0.0000 0.0000 0.0000
Zn1 Zn 0.0000 0.0000 0.5000
H1 H 0.0000 0.0000 0.3177
H2 H 0.0406 0.5203 0.0763
Ir1 Ir 0.0000 0.0000 0.2167
```


[4]
LaCe3H3: theoretical PXRD pattern (Cu Kα, 1.54184 Å), based on a PBE-relaxed structure.
Peak positions follow from Bragg's law for the DFT cell and can differ from measured ones.

Largest 10 diffraction maxima, in order of rising 2θ, 2θ from 10° to 90°:
- hkl 2 0 0, 27.6°, I = 34
- hkl 2 1 0, 30.9°, I = 100
- hkl 2 1 1, 33.9°, I = 79
- hkl 3 2 0, 50.9°, I = 25
- hkl 3 2 1, 53.0°, I = 44
- hkl 4 0 0, 56.9°, I = 18
- hkl 4 2 0, 64.4°, I = 12
- hkl 4 2 1, 66.2°, I = 23
- hkl 5 2 0, 79.8°, I = 20
- hkl 5 2 1, 81.5°, I = 13

Structure:
```
data_LaCe3H3
_chemical_formula_sum 'La2 Ce6 H6'
_space_group_name_H-M_alt 'P m -3 n'
_space_group_IT_number 223
_space_group_name_Hall '-P 4n 2 3'
_cell_length_a 6.470
_cell_length_b 6.470
_cell_length_c 6.470
_cell_angle_alpha 90.00
_cell_angle_beta 90.00
_cell_angle_gamma 90.00
loop_
_atom_site_label
_atom_site_type_symbol
_atom_site_fract_x
_atom_site_fract_y
_atom_site_fract_z
La1 La 0.000 0.000 0.000
Ce1 Ce 0.000 0.250 0.500
H1 H 0.000 0.500 0.250
```


[5]
LiCeH2: theoretical PXRD pattern (Cu Kα, 1.54184 Å), based on a PBE-relaxed structure.
Peak positions follow from Bragg's law for the DFT cell and can differ from measured ones.

Largest 10 diffraction maxima, in order of rising 2θ, 2θ from 10° to 90°:
- hkl 1 1 0, 21.4°, I = 100
- hkl 1 1 -2, 31.1°, I = 37
- hkl 0 0 2, 31.8°, I = 21
- hkl 2 0 -2, 32.5°, I = 77
- hkl 2 2 -1, 40.3°, I = 22
- hkl 1 3 -1, 46.0°, I = 26
- hkl 1 3 1, 51.8°, I = 18
- hkl 2 2 1, 52.2°, I = 21
- hkl 2 0 -4, 57.1°, I = 16
- hkl 2 4 -2, 68.3°, I = 18

Structure:
```
data_LiCeH2
_chemical_formula_sum 'Li4 Ce4 H8'
_space_group_name_H-M_alt 'P 1 21/c 1'
_space_group_IT_number 14
_space_group_name_Hall '-P 2ybc'
_cell_length_a 6.333
_cell_length_b 6.332
_cell_length_c 6.450
_cell_angle_alpha 90.00
_cell_angle_beta 119.40
_cell_angle_gamma 90.00
loop_
_atom_site_label
_atom_site_type_symbol
_atom_site_fract_x
_atom_site_fract_y
_atom_site_fract_z
Li1 Li 0.243 0.134 0.261
Ce1 Ce 0.258 0.631 0.251
H1 H 0.047 0.613 0.833
H2 H 0.494 0.654 0.663
```


[6]
LiCe2HO3: theoretical PXRD pattern (Cu Kα, 1.54184 Å), based on a PBE-relaxed structure.
Peak positions follow from Bragg's law for the DFT cell and can differ from measured ones.

Largest 10 diffraction maxima, in order of rising 2θ, 2θ from 10° to 90°:
- hkl 0 1 1, 24.8°, I = 85
- hkl 1 0 1, 26.5°, I = 48
- hkl 0 0 4, 28.4°, I = 60
- hkl 0 1 3, 32.1°, I = 54
- hkl 1 0 3, 33.4°, I = 66
- hkl 1 1 0, 35.1°, I = 100
- hkl 1 1 4, 45.8°, I = 85
- hkl 0 2 0, 48.6°, I = 24
- hkl 0 1 7, 56.9°, I = 34
- hkl 1 2 3, 60.3°, I = 25

Structure:
```
data_LiCe2HO3
_chemical_formula_sum 'Li2 Ce4 H2 O6'
_space_group_name_H-M_alt 'I m m m'
_space_group_IT_number 71
_space_group_name_Hall '-I 2 2'
_cell_length_a 3.496
_cell_length_b 3.745
_cell_length_c 12.554
_cell_angle_alpha 90.00
_cell_angle_beta 90.00
_cell_angle_gamma 90.00
loop_
_atom_site_label
_atom_site_type_symbol
_atom_site_fract_x
_atom_site_fract_y
_atom_site_fract_z
Li1 Li 0.000 0.000 0.000
Ce1 Ce 0.000 0.000 0.362
H1 H 0.000 0.500 0.500
O1 O 0.000 0.000 0.177
O2 O 0.000 0.500 0.000
```


[7]
LiCe2H12Rh3: theoretical PXRD pattern (Cu Kα, 1.54184 Å), based on a PBE-relaxed structure.
Peak positions follow from Bragg's law for the DFT cell and can differ from measured ones.

Largest 10 diffraction maxima, in order of rising 2θ, 2θ from 10° to 90°:
- hkl 1 1 0, 28.3°, I = 17
- hkl 1 0 4, 30.2°, I = 66
- hkl 0 2 1, 33.4°, I = 100
- hkl 1 1 3, 34.2°, I = 55
- hkl 2 0 2, 35.2°, I = 37
- hkl 0 1 5, 35.9°, I = 35
- hkl 2 1 4, 51.3°, I = 30
- hkl 1 2 5, 55.1°, I = 20
- hkl 2 2 0, 58.4°, I = 27
- hkl 2 0 8, 62.9°, I = 20

Structure:
```
data_LiCe2H12Rh3
_chemical_formula_sum 'Li3 Ce6 H36 Rh9'
_space_group_name_H-M_alt 'R -3 m'
_space_group_IT_number 166
_space_group_name_Hall '-R 3 2"'
_cell_length_a 6.3168
_cell_length_b 6.3168
_cell_length_c 14.0530
_cell_angle_alpha 90.00
_cell_angle_beta 90.00
_cell_angle_gamma 120.00
loop_
_atom_site_label
_atom_site_type_symbol
_atom_site_fract_x
_atom_site_fract_y
_atom_site_fract_z
Li1 Li 0.0000 0.0000 0.0000
Ce1 Ce 0.0000 0.0000 0.3816
H1 H 0.0091 0.5046 0.6186
H2 H 0.0319 0.5160 0.8342
Rh1 Rh 0.0000 0.5000 0.5000
```